Record 1
# Sc8CuTe3
Theoretical powder X-ray diffraction pattern, Cu Ka. Input: a DFT-relaxed cell (PBE, the Materials Project).
Lines closer than 0.1° are merged.

Cell and atoms:
```
data_Sc8CuTe3
_chemical_formula_sum 'Sc24 Cu3 Te9'
_space_group_name_H-M_alt 'P 1 m 1'
_space_group_IT_number 6
_cell_length_a 10.7465
_cell_length_b 3.8519
_cell_length_c 20.2046
_cell_angle_alpha 90.00
_cell_angle_beta 90.04
_cell_angle_gamma 90.00
loop_
_space_group_symop_operation_xyz
'x,y,z'
'x,-y,z'
loop_
_atom_site_label
_atom_site_type_symbol
_atom_site_fract_x
_atom_site_fract_y
_atom_site_fract_z
_atom_site_occupancy
Sc1 Sc 0.0000 0.0000 0.0000 1
Sc2 Sc 0.0007 0.5000 0.4731 1
Sc3 Sc 0.0687 0.0000 0.3584 1
Sc4 Sc 0.1397 0.5000 0.7362 1
Sc5 Sc 0.1419 0.5000 0.2370 1
Sc6 Sc 0.2320 0.0000 0.8575 1
Sc7 Sc 0.2705 0.0000 0.4897 1
Sc8 Sc 0.2832 0.5000 0.9753 1
Sc9 Sc 0.3262 0.0000 0.1039 1
Sc10 Sc 0.3501 0.0000 0.3115 1
Sc11 Sc 0.4308 0.5000 0.6203 1
Sc12 Sc 0.4580 0.5000 0.8275 1
Sc13 Sc 0.5012 0.0000 0.9581 1
Sc14 Sc 0.5118 0.5000 0.4426 1
Sc15 Sc 0.5682 0.5000 0.0732 1
Sc16 Sc 0.6395 0.0000 0.6956 1
Sc17 Sc 0.6427 0.0000 0.1961 1
Sc18 Sc 0.7115 0.5000 0.5726 1
Sc19 Sc 0.7644 0.5000 0.9421 1
Sc20 Sc 0.7805 0.0000 0.4589 1
Sc21 Sc 0.8245 0.5000 0.3275 1
Sc22 Sc 0.8510 0.5000 0.1207 1
Sc23 Sc 0.9201 0.0000 0.8034 1
Sc24 Sc 0.9588 0.0000 0.6035 1
Cu1 Cu 0.2463 0.5000 0.3901 1
Cu2 Cu 0.5347 0.0000 0.5420 1
Cu3 Cu 0.7435 0.0000 0.0424 1
Te1 Te 0.0359 0.5000 0.8920 1
Te2 Te 0.1190 0.5000 0.0924 1
Te3 Te 0.1651 0.5000 0.5909 1
Te4 Te 0.3578 0.0000 0.7275 1
Te5 Te 0.4256 0.5000 0.2031 1
Te6 Te 0.6167 0.0000 0.3408 1
Te7 Te 0.6664 0.0000 0.8408 1
Te8 Te 0.8540 0.5000 0.7011 1
Te9 Te 0.9251 0.0000 0.2284 1
```

Peak list (8 most intense, 10° ≤ 2θ ≤ 90°, in order of falling intensity)
| 2θ/deg | d [Å] | I_rel |
| --- | --- | --- |
| 33.20 | 2.699 | 100.0 |
| 39.29 | 2.293 | 49.5 |
| 24.18 | 3.680 | 44.4 |
| 47.19 | 1.926 | 44.4 |
| 34.54 | 2.596 | 43.5 |
| 34.18 | 2.623 | 43.3 |
| 36.77 | 2.444 | 42.0 |
| 36.30 | 2.475 | 37.4 |



Record 2
# LaCoC2
Theoretical powder X-ray diffraction pattern, Cu Ka. Input: a DFT-relaxed cell (PBE, the Materials Project).
Lines closer than 0.1° are merged.

Cell and atoms:
```
data_LaCoC2
_chemical_formula_sum 'La4 Co4 C8'
_space_group_name_H-M_alt 'C 1 c 1'
_space_group_IT_number 9
_cell_length_a 5.4719
_cell_length_b 5.4741
_cell_length_c 7.4383
_cell_angle_alpha 90.00
_cell_angle_beta 102.34
_cell_angle_gamma 90.00
loop_
_space_group_symop_operation_xyz
'x,y,z'
'x,-y,z+1/2'
'x+1/2,y+1/2,z'
'x+1/2,-y+1/2,z+1/2'
loop_
_atom_site_label
_atom_site_type_symbol
_atom_site_fract_x
_atom_site_fract_y
_atom_site_fract_z
_atom_site_occupancy
La1 La 0.0000 0.0735 0.0000 1
Co1 Co 0.0576 0.4299 0.6927 1
C1 C 0.3299 0.1803 0.7724 1
C2 C 0.4806 0.0758 0.9238 1
```

Peak list (8 most intense, 10° ≤ 2θ ≤ 90°, in order of falling intensity)
| 2θ/deg | d [Å] | I_rel |
| --- | --- | --- |
| 31.26 | 2.862 | 100.0 |
| 36.63 | 2.454 | 90.3 |
| 33.53 | 2.673 | 68.5 |
| 35.03 | 2.561 | 64.5 |
| 24.52 | 3.631 | 41.8 |
| 47.27 | 1.923 | 39.1 |
| 37.26 | 2.413 | 32.8 |
| 23.26 | 3.825 | 31.6 |



Record 3
# Tb2Co7B3
Theoretical powder X-ray diffraction pattern, Cu Ka. Input: a DFT-relaxed cell (PBE, the Materials Project).
Lines closer than 0.1° are merged.

Cell and atoms:
```
data_Tb2Co7B3
_chemical_formula_sum 'Tb4 Co14 B6'
_space_group_name_H-M_alt 'P 6/m m m'
_space_group_IT_number 191
_space_group_name_Hall '-P 6 2'
_cell_length_a 5.0375
_cell_length_b 5.0375
_cell_length_c 12.7258
_cell_angle_alpha 90.00
_cell_angle_beta 90.00
_cell_angle_gamma 120.00
loop_
_atom_site_label
_atom_site_type_symbol
_atom_site_fract_x
_atom_site_fract_y
_atom_site_fract_z
_atom_site_occupancy
Tb1 Tb 0.0000 0.0000 0.0000 1
Tb2 Tb 0.0000 0.0000 0.2388 1
Tb3 Tb 0.0000 0.0000 0.5000 1
Co1 Co 0.0000 0.5000 0.1157 1
Co2 Co 0.0000 0.5000 0.3450 1
Co3 Co 0.3333 0.6667 0.5000 1
B1 B 0.3333 0.6667 0.0000 1
B2 B 0.3333 0.6667 0.2318 1
```

Peak list (8 most intense, 10° ≤ 2θ ≤ 90°, in order of falling intensity)
| 2θ/deg | d [Å] | I_rel |
| --- | --- | --- |
| 34.90 | 2.571 | 100.0 |
| 41.39 | 2.181 | 93.1 |
| 45.96 | 1.975 | 81.4 |
| 63.55 | 1.464 | 34.8 |
| 20.36 | 4.363 | 27.6 |
| 35.65 | 2.519 | 26.1 |
| 71.31 | 1.323 | 21.0 |
| 75.49 | 1.259 | 20.7 |



Record 4
# Te3MoWS
Theoretical powder X-ray diffraction pattern, Cu Ka. Input: a DFT-relaxed cell (PBE, the Materials Project).
Lines closer than 0.1° are merged.

Cell and atoms:
```
data_Te3MoWS
_chemical_formula_sum 'Te6 Mo2 W2 S2'
_space_group_name_H-M_alt 'P 3 m 1'
_space_group_IT_number 156
_cell_length_a 3.4601
_cell_length_b 3.4601
_cell_length_c 39.2613
_cell_angle_alpha 90.00
_cell_angle_beta 90.00
_cell_angle_gamma 120.00
loop_
_space_group_symop_operation_xyz
'x,y,z'
'-y,x-y,z'
'-x+y,-x,z'
'-y,-x,z'
'-x+y,y,z'
'x,x-y,z'
loop_
_atom_site_label
_atom_site_type_symbol
_atom_site_fract_x
_atom_site_fract_y
_atom_site_fract_z
_atom_site_occupancy
Te1 Te 0.0000 0.0000 0.0000 1
Te2 Te 0.0000 0.0000 0.0940 1
Te3 Te 0.6667 0.3333 0.1877 1
Te4 Te 0.6667 0.3333 0.2822 1
Te5 Te 0.6667 0.3333 0.5633 1
Te6 Te 0.6667 0.3333 0.6579 1
Mo1 Mo 0.6667 0.3333 0.0470 1
Mo2 Mo 0.6667 0.3333 0.4228 1
W1 W 0.0000 0.0000 0.2350 1
W2 W 0.0000 0.0000 0.6107 1
S1 S 0.0000 0.0000 0.3849 1
S2 S 0.0000 0.0000 0.4606 1
```

Peak list (8 most intense, 10° ≤ 2θ ≤ 90°, in order of falling intensity)
| 2θ/deg | d [Å] | I_rel |
| --- | --- | --- |
| 35.09 | 2.558 | 100.0 |
| 11.27 | 7.852 | 94.5 |
| 42.50 | 2.127 | 55.3 |
| 29.83 | 2.995 | 48.7 |
| 52.93 | 1.730 | 34.3 |
| 37.77 | 2.382 | 21.6 |
| 74.76 | 1.270 | 17.4 |
| 65.09 | 1.433 | 16.3 |



Record 5
# Cs
Theoretical powder X-ray diffraction pattern, Cu Ka. Input: a DFT-relaxed cell (PBE, the Materials Project).
Lines closer than 0.1° are merged.

Cell and atoms:
```
data_Cs
_chemical_formula_sum 'Cs4'
_space_group_name_H-M_alt 'P b c m'
_space_group_IT_number 57
_cell_length_a 5.3488
_cell_length_b 9.0933
_cell_length_c 9.4287
_cell_angle_alpha 90.00
_cell_angle_beta 90.00
_cell_angle_gamma 90.00
loop_
_space_group_symop_operation_xyz
'x,y,z'
'-x,-y,-z'
'-x,-y,z+1/2'
'x,y,-z+1/2'
'x,-y+1/2,-z'
'-x,y+1/2,z'
'-x,y+1/2,-z+1/2'
'x,-y+1/2,z+1/2'
loop_
_atom_site_label
_atom_site_type_symbol
_atom_site_fract_x
_atom_site_fract_y
_atom_site_fract_z
_atom_site_occupancy
Cs1 Cs 0.2440 0.0911 0.2500 1
```

Peak list (8 most intense, 10° ≤ 2θ ≤ 90°, in order of falling intensity)
| 2θ/deg | d [Å] | I_rel |
| --- | --- | --- |
| 21.45 | 4.142 | 100.0 |
| 21.70 | 4.095 | 57.2 |
| 18.82 | 4.714 | 48.2 |
| 39.14 | 2.302 | 31.1 |
| 34.54 | 2.597 | 29.4 |
| 19.25 | 4.610 | 26.8 |
| 27.05 | 3.296 | 23.4 |
| 40.28 | 2.239 | 22.3 |



Record 6
# Hg3C2N4Cl2
Theoretical powder X-ray diffraction pattern, Cu Ka. Input: a DFT-relaxed cell (PBE, the Materials Project).
Lines closer than 0.1° are merged.

Cell and atoms:
```
data_Hg3C2N4Cl2
_chemical_formula_sum 'Hg12 C8 N16 Cl8'
_space_group_name_H-M_alt 'P c a 21'
_space_group_IT_number 29
_cell_length_a 7.3554
_cell_length_b 11.0315
_cell_length_c 10.6601
_cell_angle_alpha 90.00
_cell_angle_beta 90.00
_cell_angle_gamma 90.00
loop_
_space_group_symop_operation_xyz
'x,y,z'
'-x,-y,z+1/2'
'-x+1/2,y,z+1/2'
'x+1/2,-y,z'
loop_
_atom_site_label
_atom_site_type_symbol
_atom_site_fract_x
_atom_site_fract_y
_atom_site_fract_z
_atom_site_occupancy
Hg1 Hg 0.0050 0.0534 0.0000 1
Hg2 Hg 0.2106 0.4128 0.5448 1
Hg3 Hg 0.2267 0.7067 0.8604 1
C1 C 0.1106 0.4584 0.7998 1
C2 C 0.1497 0.9413 0.2404 1
N1 N 0.0486 0.4030 0.7111 1
N2 N 0.1425 0.8833 0.3418 1
N3 N 0.1614 0.5162 0.8952 1
N4 N 0.1757 0.9986 0.1454 1
Cl1 Cl 0.0696 0.7025 0.5992 1
Cl2 Cl 0.1199 0.2040 0.4240 1
```

Peak list (8 most intense, 10° ≤ 2θ ≤ 90°, in order of falling intensity)
| 2θ/deg | d [Å] | I_rel |
| --- | --- | --- |
| 22.12 | 4.019 | 100.0 |
| 16.64 | 5.329 | 90.0 |
| 25.54 | 3.488 | 79.9 |
| 30.63 | 2.919 | 73.8 |
| 23.21 | 3.833 | 62.3 |
| 26.22 | 3.399 | 54.9 |
| 27.11 | 3.289 | 47.8 |
| 21.80 | 4.077 | 38.5 |



Record 7
# Nb3Sb3O13
Theoretical powder X-ray diffraction pattern, Cu Ka. Input: a DFT-relaxed cell (PBE, the Materials Project).
Lines closer than 0.1° are merged.

Cell and atoms:
```
data_Nb3Sb3O13
_chemical_formula_sum 'Nb6 Sb6 O26'
_space_group_name_H-M_alt 'C 1 m 1'
_space_group_IT_number 8
_cell_length_a 13.1375
_cell_length_b 7.5036
_cell_length_c 7.5773
_cell_angle_alpha 90.00
_cell_angle_beta 124.79
_cell_angle_gamma 90.00
loop_
_space_group_symop_operation_xyz
'x,y,z'
'x,-y,z'
'x+1/2,y+1/2,z'
'x+1/2,-y+1/2,z'
loop_
_atom_site_label
_atom_site_type_symbol
_atom_site_fract_x
_atom_site_fract_y
_atom_site_fract_z
_atom_site_occupancy
Nb1 Nb 0.0000 0.0000 0.0000 1
Nb2 Nb 0.2478 0.2492 0.5284 1
Sb1 Sb 0.2488 0.2648 0.0835 1
Sb2 Sb 0.4985 0.5000 0.5013 1
O1 O 0.0584 0.0000 0.8063 1
O2 O 0.1186 0.1910 0.5607 1
O3 O 0.1375 0.1894 0.1798 1
O4 O 0.1710 0.5000 0.9900 1
O5 O 0.1988 0.5000 0.4544 1
O6 O 0.3000 0.0000 0.5510 1
O7 O 0.3667 0.3128 0.4107 1
O8 O 0.3781 0.3151 0.8175 1
O9 O 0.4413 0.5000 0.1905 1
```

Peak list (8 most intense, 10° ≤ 2θ ≤ 90°, in order of falling intensity)
| 2θ/deg | d [Å] | I_rel |
| --- | --- | --- |
| 28.96 | 3.083 | 100.0 |
| 14.37 | 6.162 | 75.0 |
| 28.69 | 3.111 | 31.6 |
| 33.62 | 2.666 | 23.6 |
| 48.10 | 1.892 | 21.8 |
| 27.54 | 3.239 | 20.5 |
| 16.43 | 5.395 | 19.1 |
| 47.85 | 1.901 | 16.6 |



Record 8
# SrEuInSbO6
Theoretical powder X-ray diffraction pattern, Cu Ka. Input: a DFT-relaxed cell (PBE, the Materials Project).
Lines closer than 0.1° are merged.

Cell and atoms:
```
data_SrEuInSbO6
_chemical_formula_sum 'Sr4 Eu4 In4 Sb4 O24'
_space_group_name_H-M_alt 'F -4 3 m'
_space_group_IT_number 216
_space_group_name_Hall 'F -4 2 3'
_cell_length_a 8.3243
_cell_length_b 8.3243
_cell_length_c 8.3243
_cell_angle_alpha 90.00
_cell_angle_beta 90.00
_cell_angle_gamma 90.00
loop_
_atom_site_label
_atom_site_type_symbol
_atom_site_fract_x
_atom_site_fract_y
_atom_site_fract_z
_atom_site_occupancy
Sr1 Sr 0.0000 0.0000 0.0000 1
Eu1 Eu 0.0000 0.0000 0.5000 1
In1 In 0.2500 0.2500 0.2500 1
Sb1 Sb 0.2500 0.2500 0.7500 1
O1 O 0.0088 0.2500 0.7500 1
```

Peak list (8 most intense, 10° ≤ 2θ ≤ 90°, in order of falling intensity)
| 2θ/deg | d [Å] | I_rel |
| --- | --- | --- |
| 30.37 | 2.943 | 100.0 |
| 53.96 | 1.699 | 39.9 |
| 43.49 | 2.081 | 30.6 |
| 87.74 | 1.112 | 21.3 |
| 63.19 | 1.472 | 18.7 |
| 71.71 | 1.316 | 17.4 |
| 79.83 | 1.202 | 6.2 |
| 18.46 | 4.806 | 4.5 |